1.
This entry pairs a crystal structure of Tl3CrBr6 with its calculated X-ray diffraction stick pattern. Radiation: Cu Kα (weighted mean of Kα1 and Kα2). Structure: the GGA-PBE geometry in Alexandria.
Lines closer than 0.1° are merged.

Main lines, by angle (15° ≤ 2θ ≤ 90°):
Position (°2θ), d_spacing, I_rel
20.25, 4.386, 39
23.04, 3.861, 100
30.52, 2.929, 25
31.22, 2.865, 37
36.16, 2.484, 44
39.15, 2.301, 41
44.30, 2.045, 14
55.17, 1.665, 16
57.56, 1.601, 13
58.83, 1.570, 18

Structural model:
```
Tl3CrBr6
1.0
0.000 5.730 6.817
4.687 0.000 6.817
4.687 5.730 0.000
Tl Cr Br
3 1 6
direct
0.000 0.000 0.000 Tl
0.250 0.250 0.250 Tl
0.750 0.750 0.750 Tl
0.500 0.500 0.500 Cr
0.179 0.560 0.821 Br
0.278 0.722 0.278 Br
0.440 0.821 0.560 Br
0.560 0.179 0.440 Br
0.722 0.278 0.722 Br
0.821 0.440 0.179 Br
```

2.
This entry pairs a crystal structure of V4TcRu5 with its calculated X-ray diffraction stick pattern. Radiation: Cu Kα (weighted mean of Kα1 and Kα2). Structure: the GGA-PBE geometry in Alexandria.
Lines closer than 0.1° are merged.

Main lines, by angle (15° ≤ 2θ ≤ 90°):
Position (°2θ), d_spacing, I_rel
28.42, 3.140, 4
30.11, 2.968, 9
38.01, 2.368, 4
41.88, 2.157, 100
43.10, 2.099, 50
52.44, 1.745, 4
58.81, 1.570, 7
62.59, 1.484, 16
75.63, 1.257, 14
78.18, 1.223, 30

Structural model:
```
V4TcRu5
1.0
2.968 0.000 0.000
0.000 2.968 0.000
0.000 0.000 15.702
V Tc Ru
4 1 5
direct
0.000 0.000 0.098 V
0.000 0.000 0.296 V
0.000 0.000 0.704 V
0.000 0.000 0.902 V
0.000 0.000 0.500 Tc
0.500 0.500 0.000 Ru
0.500 0.500 0.193 Ru
0.500 0.500 0.383 Ru
0.500 0.500 0.617 Ru
0.500 0.500 0.807 Ru
```

3.
This entry pairs a crystal structure of K2LaHfSe4 with its calculated X-ray diffraction stick pattern. Radiation: Cu Kα (weighted mean of Kα1 and Kα2). Structure: the GGA-PBE geometry in Alexandria.
Lines closer than 0.1° are merged.

Main lines, by angle (15° ≤ 2θ ≤ 90°):
Position (°2θ), d_spacing, I_rel
25.05, 3.554, 8
29.16, 3.062, 100
36.85, 2.439, 20
39.59, 2.276, 12
40.07, 2.250, 23
43.28, 2.090, 22
43.79, 2.068, 12
50.30, 1.814, 9
53.46, 1.714, 12
60.46, 1.531, 9

Structural model:
```
K2LaHfSe4
1.0
7.268 0.000 0.000
0.000 4.135 0.000
-2.347 0.000 7.726
K La Hf Se
2 1 1 4
direct
0.000 0.000 0.000 K
0.500 0.500 0.000 K
0.000 0.500 0.500 La
0.500 0.000 0.500 Hf
0.264 0.000 0.711 Se
0.290 0.500 0.300 Se
0.710 0.500 0.700 Se
0.736 0.000 0.289 Se
```